This entry pairs a crystal structure of YErAl2O6 with its computed powder X-ray diffraction pattern. Radiation: Cu Ka. Structure: a PBE-relaxed structure.
Neutral-atom scattering factors, no anomalous dispersion.

Most intense lines, 10° ≤ 2θ ≤ 80°, in order of rising 2θ:
d/Å	I/Imax	hkl
3.740	47	0 1 1
3.713	28	2 0 0
3.340	35	1 1 1
2.635	100	2 1 1
2.600	25	0 2 0
2.130	26	2 2 0

Structural model:
Lattice parameters (Å, degrees): 7.426 5.200 5.383 90.00 90.00 90.00
Space group Pmc2_1 (No. 26)
Symmetry-distinct sites (fractional):
Y1 0.000 0.236 0.000
Er1 0.500 0.264 0.885
Al1 0.252 0.249 0.444
O1 0.000 0.337 0.421
O2 0.205 0.046 0.740
O3 0.299 0.454 0.148
O4 0.500 0.158 0.471